(1)
# MnZn3F6
Theoretical X-ray powder pattern, CuKα. Input: a structure optimized by DFT (PBE+U).
Peak positions follow from Bragg's law for the DFT cell and can differ from measured ones.

Peak list (8 most intense, 2θ from 15° to 90°, in order of falling intensity)
15.80 deg, intensity 100; 15.29 deg, intensity 63; 17.45 deg, intensity 29; 18.59 deg, intensity 23; 35.31 deg, intensity 23; 30.86 deg, intensity 19; 26.32 deg, intensity 18; 23.80 deg, intensity 14

Cell and atoms:
Unit cell a=5.3100 b=7.0683 c=11.2278 alpha=89.02 beta=87.25 gamma=73.33
Positions (direct):
Mn 0.0000 0.0000 0.0000
Zn 0.0000 0.0000 0.5000
Zn 0.0000 0.5000 0.0000
Zn 0.5000 0.5000 0.0000
F 0.0640 0.9771 0.6512
F 0.0940 0.2479 0.9221
F 0.3163 0.8019 0.9321
F 0.6837 0.1981 0.0679
F 0.9060 0.7521 0.0779
F 0.9360 0.0229 0.3488

***

(2)
# MnZnF4
Theoretical X-ray powder pattern, CuKα. Input: a structure optimized by DFT (PBE+U).
Peak positions follow from Bragg's law for the DFT cell and can differ from measured ones.

Peak list (8 most intense, 2θ from 15° to 90°, in order of falling intensity)
29.18 deg, intensity 100; 29.47 deg, intensity 97; 29.71 deg, intensity 95; 30.02 deg, intensity 92; 49.14 deg, intensity 88; 48.90 deg, intensity 52; 50.29 deg, intensity 48; 48.77 deg, intensity 47

Cell and atoms:
Unit cell a=5.2025 b=5.2885 c=6.2982 alpha=114.05 beta=113.03 gamma=90.00
Positions (direct):
Mn 0.0000 0.0000 0.0000
Mn 0.4984 0.4959 0.9943
Zn 0.2532 0.7568 0.4958
Zn 0.7423 0.2367 0.4962
F 0.0956 0.1776 0.7408
F 0.1758 0.6910 0.7587
F 0.3329 0.4197 0.2431
F 0.3983 0.9235 0.2597
F 0.5987 0.0758 0.7517
F 0.6642 0.5724 0.7438
F 0.8398 0.3208 0.2533
F 0.8961 0.8166 0.2462

***

(3)
# MnZnF5
Theoretical X-ray powder pattern, CuKα. Input: a structure optimized by DFT (PBE+U).
Peak positions follow from Bragg's law for the DFT cell and can differ from measured ones.

Peak list (8 most intense, 2θ from 15° to 90°, in order of falling intensity)
26.15 deg, intensity 100; 30.70 deg, intensity 23; 30.90 deg, intensity 22; 20.65 deg, intensity 22; 26.32 deg, intensity 21; 52.72 deg, intensity 21; 53.10 deg, intensity 18; 46.27 deg, intensity 17

Cell and atoms:
Unit cell a=5.1653 b=9.6568 c=7.8487 alpha=90.00 beta=111.51 gamma=90.00
Positions (direct):
Mn 0.1109 0.2478 0.3979
Mn 0.1109 0.2522 0.8979
Mn 0.8891 0.7478 0.1021
Mn 0.8891 0.7522 0.6021
Zn 0.4753 0.0095 0.7468
Zn 0.4753 0.4905 0.2468
Zn 0.5247 0.5095 0.7532
Zn 0.5247 0.9905 0.2532
F 0.1342 0.6051 0.2105
F 0.1342 0.8949 0.7105
F 0.1908 0.1683 0.6666
F 0.1908 0.3317 0.1666
F 0.1963 0.6319 0.6463
F 0.1963 0.8681 0.1463
F 0.3580 0.1084 0.0155
F 0.3580 0.3916 0.5155
F 0.4086 0.1185 0.4184
F 0.4086 0.3815 0.9184
F 0.5914 0.6185 0.0816
F 0.5914 0.8815 0.5816
F 0.6420 0.6084 0.4845
F 0.6420 0.8916 0.9845
F 0.8037 0.1319 0.8537
F 0.8037 0.3681 0.3537
F 0.8092 0.6683 0.8334
F 0.8092 0.8317 0.3334
F 0.8658 0.1051 0.2895
F 0.8658 0.3949 0.7895

***

(4)
# MnZnF6
Theoretical X-ray powder pattern, CuKα. Input: a structure optimized by DFT (PBE+U).
Peak positions follow from Bragg's law for the DFT cell and can differ from measured ones.

Peak list (8 most intense, 2θ from 15° to 90°, in order of falling intensity)
23.61 deg, intensity 100; 53.85 deg, intensity 23; 48.31 deg, intensity 21; 33.20 deg, intensity 17; 55.05 deg, intensity 14; 39.77 deg, intensity 12; 34.08 deg, intensity 10; 60.44 deg, intensity 8

Cell and atoms:
Unit cell a=5.4011 b=5.4011 c=5.4011 alpha=58.30 beta=58.30 gamma=58.30
Positions (direct):
Mn 0.0000 0.0000 0.0000
Zn 0.5000 0.5000 0.5000
F 0.1469 0.3273 0.7643
F 0.2357 0.8531 0.6727
F 0.3273 0.7643 0.1469
F 0.6727 0.2357 0.8531
F 0.7643 0.1469 0.3273
F 0.8531 0.6727 0.2357

***

(5)
# MnZnF5
Theoretical X-ray powder pattern, CuKα. Input: a structure optimized by DFT (PBE+U).
Peak positions follow from Bragg's law for the DFT cell and can differ from measured ones.

Peak list (8 most intense, 2θ from 15° to 90°, in order of falling intensity)
26.54 deg, intensity 100; 22.89 deg, intensity 73; 29.34 deg, intensity 28; 50.36 deg, intensity 27; 46.76 deg, intensity 22; 45.03 deg, intensity 18; 56.18 deg, intensity 17; 54.66 deg, intensity 14

Cell and atoms:
Unit cell a=5.3567 b=5.3567 c=8.0551 alpha=112.87 beta=112.87 gamma=69.25
Positions (direct):
Mn 0.0000 0.0000 0.0000
Mn 0.0000 0.0000 0.5000
Zn 0.4783 0.5217 0.7500
Zn 0.5217 0.4783 0.2500
F 0.1461 0.8539 0.7500
F 0.2211 0.2624 0.6253
F 0.2624 0.2211 0.1253
F 0.2834 0.6832 0.0595
F 0.3168 0.7166 0.4405
F 0.6832 0.2834 0.5595
F 0.7166 0.3168 0.9405
F 0.7376 0.7789 0.8747
F 0.7789 0.7376 0.3747
F 0.8539 0.1461 0.2500

***

(6)
# ZrMnF6
Theoretical X-ray powder pattern, CuKα. Input: a structure optimized by DFT (PBE+U).
Peak positions follow from Bragg's law for the DFT cell and can differ from measured ones.

Peak list (8 most intense, 2θ from 15° to 90°, in order of falling intensity)
21.24 deg, intensity 100; 48.67 deg, intensity 38; 43.25 deg, intensity 28; 30.21 deg, intensity 26; 67.13 deg, intensity 17; 62.83 deg, intensity 15; 53.67 deg, intensity 11; 18.37 deg, intensity 9

Cell and atoms:
Unit cell a=5.9162 b=5.9162 c=5.9162 alpha=60.00 beta=60.00 gamma=60.00
Positions (direct):
Zr 0.0000 0.0000 0.0000
Mn 0.5000 0.5000 0.5000
F 0.2442 0.2442 0.7558
F 0.2442 0.7558 0.2442
F 0.2442 0.7558 0.7558
F 0.7558 0.2442 0.2442
F 0.7558 0.2442 0.7558
F 0.7558 0.7558 0.2442

***

(7)
# Zr3MnF6
Theoretical X-ray powder pattern, CuKα. Input: a structure optimized by DFT (PBE+U).
Peak positions follow from Bragg's law for the DFT cell and can differ from measured ones.

Peak list (8 most intense, 2θ from 15° to 90°, in order of falling intensity)
16.60 deg, intensity 100; 16.85 deg, intensity 97; 35.37 deg, intensity 92; 17.49 deg, intensity 82; 33.56 deg, intensity 64; 34.09 deg, intensity 59; 27.42 deg, intensity 58; 32.09 deg, intensity 50

Cell and atoms:
Unit cell a=6.0855 b=6.1901 c=7.4025 alpha=95.39 beta=112.61 gamma=114.98
Positions (direct):
Zr 0.0000 0.0000 0.0000
Zr 0.0000 0.5000 0.0000
Zr 0.5000 0.0000 0.0000
Mn 0.5000 0.0000 0.5000
F 0.2051 0.0898 0.3129
F 0.2381 0.6249 0.3096
F 0.3206 0.9182 0.6873
F 0.6794 0.0818 0.3127
F 0.7619 0.3751 0.6904
F 0.7949 0.9102 0.6871

***

(8)
# Zr3MnF6
Theoretical X-ray powder pattern, CuKα. Input: a structure optimized by DFT (PBE+U).
Peak positions follow from Bragg's law for the DFT cell and can differ from measured ones.

Peak list (8 most intense, 2θ from 15° to 90°, in order of falling intensity)
15.24 deg, intensity 100; 16.99 deg, intensity 70; 18.57 deg, intensity 56; 37.71 deg, intensity 51; 33.12 deg, intensity 49; 30.75 deg, intensity 39; 32.52 deg, intensity 34; 36.92 deg, intensity 29

Cell and atoms:
Unit cell a=6.1575 b=6.2489 c=6.4993 alpha=64.66 beta=71.94 gamma=62.55
Positions (direct):
Zr 0.0000 0.0000 0.0000
Zr 0.0000 0.5000 0.0000
Zr 0.5000 0.0000 0.0000
Mn 0.5000 0.0000 0.5000
F 0.1209 0.1043 0.6465
F 0.3208 0.2890 0.1843
F 0.4731 0.7784 0.3457
F 0.5269 0.2216 0.6543
F 0.6792 0.7110 0.8157
F 0.8791 0.8957 0.3535